Record 1
Li14InRh: computed X-ray diffraction stick pattern (Cu Ka), based on a DFT-relaxed cell (GGA-PBE, Alexandria).
Kinematic intensities with the Lorentz-polarization factor, no thermal factor.

Most intense lines, 2θ = 15–90°, by angle:
2θ (°)	I/Imax
16.90	69
18.41	56
19.26	100
25.09	51
37.48	49
39.09	26
40.96	35
46.28	28

Cell and atoms:
Cell lengths 9.6385, 5.9526, 5.9526 Å; angles 56.34, 90.00, 90.00 degrees
Positions (direct):
Li1 0.0000 0.0000 0.0000
Li2 0.0000 0.0026 0.4975
Li3 0.0000 0.4975 0.0026
Li4 0.0000 0.4977 0.4977
Li5 0.2506 0.8396 0.8396
Li6 0.2652 0.3355 0.8568
Li7 0.2652 0.8568 0.3355
Li8 0.2719 0.3330 0.3330
Li9 0.5000 0.1894 0.6937
Li10 0.5000 0.6937 0.1894
Li11 0.7281 0.3330 0.3330
Li12 0.7348 0.3355 0.8568
Li13 0.7348 0.8568 0.3355
Li14 0.7494 0.8396 0.8396
In1 0.5000 0.6913 0.6913
Rh1 0.5000 0.1914 0.1914


Record 2
UMnRh: computed X-ray diffraction stick pattern (Cu Ka), based on a DFT-relaxed cell (GGA-PBE, Alexandria).
Kinematic intensities with the Lorentz-polarization factor, no thermal factor.

Most intense lines, 2θ = 15–90°, by angle:
2θ (°)	I/Imax
18.66	53
30.97	75
34.27	55
35.07	71
35.70	47
36.40	100
46.85	90
57.23	42

Cell and atoms:
Cell lengths 6.1079, 6.1079, 6.1079 Å; angles 56.43, 56.43, 56.43 degrees
Positions (direct):
U1 0.0000 0.0000 0.0000
U2 0.1890 0.1890 0.1890
U3 0.8110 0.8110 0.8110
Mn1 0.2533 0.7468 0.5000
Mn2 0.5000 0.2532 0.7468
Mn3 0.7468 0.5000 0.2532
Rh1 0.0000 0.4503 0.5497
Rh2 0.4503 0.5497 0.0000
Rh3 0.5497 0.0000 0.4503


Record 3
CaGa2Cu4Ge: computed X-ray diffraction stick pattern (Cu Ka), based on a DFT-relaxed cell (GGA-PBE, Alexandria).
Kinematic intensities with the Lorentz-polarization factor, no thermal factor.

Most intense lines, 2θ = 15–90°, by angle:
2θ (°)	I/Imax
19.74	27
34.03	22
36.46	78
43.43	100
44.66	19
50.73	19
57.96	19
60.59	22

Cell and atoms:
Cell lengths 9.3123, 9.3123, 9.3123 Å; angles 25.86, 25.86, 25.86 degrees
Positions (direct):
Ca1 0.0000 0.0000 0.0000
Ga1 0.2550 0.2550 0.2550
Ga2 0.7450 0.7450 0.7450
Cu1 0.1225 0.1225 0.1225
Cu2 0.4100 0.4100 0.4100
Cu3 0.5900 0.5900 0.5900
Cu4 0.8775 0.8775 0.8775
Ge1 0.5000 0.5000 0.5000


Record 4
LiTl2GaH: computed X-ray diffraction stick pattern (Cu Ka), based on a DFT-relaxed cell (GGA-PBE, Alexandria).
Kinematic intensities with the Lorentz-polarization factor, no thermal factor.

Most intense lines, 2θ = 15–90°, by angle:
2θ (°)	I/Imax
23.80	56
24.49	27
33.92	53
34.41	100
42.27	26
48.72	19
61.01	39
61.96	19

Cell and atoms:
Cell lengths 5.2863, 5.2863, 3.6356 Å; angles 90.00, 90.00, 90.00 degrees
Positions (direct):
Li1 0.0000 0.0000 0.0000
Tl1 0.0000 0.5000 0.5000
Tl2 0.5000 0.0000 0.5000
Ga1 0.5000 0.5000 0.0000
H1 0.0000 0.0000 0.5000


Record 5
Ho5AlTl4: computed X-ray diffraction stick pattern (Cu Ka), based on a DFT-relaxed cell (GGA-PBE, Alexandria).
Kinematic intensities with the Lorentz-polarization factor, no thermal factor.

Most intense lines, 2θ = 15–90°, by angle:
2θ (°)	I/Imax
33.53	100
34.57	48
46.56	9
49.69	17
59.26	17
61.28	36
70.46	10
83.26	8

Cell and atoms:
Cell lengths 3.6696, 3.6696, 19.5063 Å; angles 90.00, 90.00, 90.00 degrees
Positions (direct):
Ho1 0.0000 0.0000 0.0000
Ho2 0.0000 0.0000 0.2061
Ho3 0.0000 0.0000 0.4100
Ho4 0.0000 0.0000 0.5900
Ho5 0.0000 0.0000 0.7939
Al1 0.5000 0.5000 0.5000
Tl1 0.5000 0.5000 0.1032
Tl2 0.5000 0.5000 0.3073
Tl3 0.5000 0.5000 0.6927
Tl4 0.5000 0.5000 0.8968


Record 6
Ac3Tb3PmTe8: computed X-ray diffraction stick pattern (Cu Ka), based on a DFT-relaxed cell (GGA-PBE, Alexandria).
Kinematic intensities with the Lorentz-polarization factor, no thermal factor.

Most intense lines, 2θ = 15–90°, by angle:
2θ (°)	I/Imax
27.85	100
39.40	39
40.18	38
49.59	20
57.54	13
64.56	17
65.66	17
72.50	13

Cell and atoms:
Cell lengths 9.1504, 9.1504, 9.1504 Å; angles 58.75, 58.75, 58.75 degrees
Positions (direct):
Ac1 0.0000 0.5000 0.5000
Ac2 0.5000 0.0000 0.5000
Ac3 0.5000 0.5000 0.0000
Tb1 0.0000 0.0000 0.5000
Tb2 0.0000 0.5000 0.0000
Tb3 0.5000 0.0000 0.0000
Pm1 0.5000 0.5000 0.5000
Te1 0.2317 0.7521 0.7521
Te2 0.2419 0.2419 0.2419
Te3 0.2479 0.2479 0.7683
Te4 0.2479 0.7683 0.2479
Te5 0.7521 0.2317 0.7521
Te6 0.7521 0.7521 0.2317
Te7 0.7581 0.7581 0.7581
Te8 0.7683 0.2479 0.2479